1.
For Mg3Sc2Cd, DFT lattice parameters and positions (GGA-PBE) gives the simulated powder XRD pattern in this record (Cu Kα).
Intensities are scaled so that the largest is 100.

Peak list (8 most intense, 2θ = 10–90°, by angle)
2θ = 10.23°, intensity 61, hkl 0 0 1
2θ = 17.81°, intensity 17, hkl 0 1 0
2θ = 20.57°, intensity 28, hkl 0 0 2
2θ = 35.02°, intensity 100, hkl 1 1 1
2θ = 36.03°, intensity 90, hkl 0 2 0
2θ = 51.12°, intensity 32, hkl 1 0 4
2θ = 64.09°, intensity 20, hkl 1 2 4
2θ = 70.15°, intensity 23, hkl 2 2 0

abc: 3.184 4.979 8.647
angles: 90.00 90.00 90.00
Space group Pmm2 (No. 25)
Inequivalent atoms, fractional coordinates:
Mg  0.000  0.000  0.000 (multiplicity 1)
Mg  0.000  0.000  0.335 (multiplicity 1)
Mg  0.000  0.500  0.834 (multiplicity 1)
Sc  0.500  0.000  0.663 (multiplicity 1)
Sc  0.500  0.500  0.173 (multiplicity 1)
Cd  0.000  0.500  0.502 (multiplicity 1)



2.
For Mg6AlCd5, DFT lattice parameters and positions (GGA-PBE) gives the simulated powder XRD pattern in this record (Cu Kα).
Intensities are scaled so that the largest is 100.

Peak list (8 most intense, 2θ = 10–90°, by angle)
2θ = 21.28°, intensity 42, hkl 1 0 1
2θ = 27.81°, intensity 22, hkl 0 2 0
2θ = 27.96°, intensity 21, hkl 1 0 -2
2θ = 35.27°, intensity 100, hkl 1 2 1
2θ = 35.57°, intensity 32, hkl 2 0 -1
2θ = 39.84°, intensity 48, hkl 1 2 -2
2θ = 43.35°, intensity 18, hkl 2 0 2
2θ = 69.38°, intensity 17, hkl 2 4 -1

abc: 5.230 6.416 7.661
angles: 90.00 94.03 90.00
Space group P2/m (No. 10)
Inequivalent atoms, fractional coordinates:
Mg  0.000  0.246  0.000 (multiplicity 2)
Mg  0.331  0.249  0.669 (multiplicity 4)
Al  0.500  0.000  0.000 (multiplicity 1)
Cd  0.168  0.500  0.337 (multiplicity 2)
Cd  0.175  0.000  0.331 (multiplicity 2)
Cd  0.500  0.500  0.000 (multiplicity 1)



3.
For AcPm2Ho, DFT lattice parameters and positions (GGA-PBE) gives the simulated powder XRD pattern in this record (Cu Kα).
Intensities are scaled so that the largest is 100.

Peak list (8 most intense, 2θ = 10–90°, by angle)
2θ = 29.51°, intensity 100, hkl 1 0 4
2θ = 34.04°, intensity 37, hkl 1 1 0
2θ = 34.52°, intensity 13, hkl 0 0 8
2θ = 48.90°, intensity 14, hkl 2 0 0
2θ = 49.26°, intensity 19, hkl 1 1 8
2θ = 58.16°, intensity 30, hkl 2 1 4
2θ = 58.79°, intensity 7, hkl 1 0 12
2θ = 61.23°, intensity 10, hkl 2 0 8

abc: 3.725 3.725 20.785
angles: 90.00 90.00 90.00
Space group P4/nmm (No. 129, origin choice 2)
Inequivalent atoms, fractional coordinates:
Ac  0.250  0.250  0.073 (multiplicity 2)
Pm  0.250  0.250  0.560 (multiplicity 2)
Pm  0.250  0.250  0.795 (multiplicity 2)
Ho  0.250  0.250  0.322 (multiplicity 2)